Simulated powder X-ray diffraction pattern
Compound: Sr7CaTi7MnO24
Radiation: Cu Kα (weighted mean of Kα1 and Kα2)
Structure: a GGA+U-relaxed structure

Main lines, low angle first (2θ = 10–90°):
| 2θ (°) | I_rel |
| --- | --- |
| 32.2 | 100.0 |
| 39.7 | 19.3 |
| 46.2 | 41.8 |
| 57.3 | 9.4 |
| 57.4 | 28.0 |
| 67.3 | 11.6 |
| 67.4 | 11.9 |
| 76.7 | 16.0 |
| 81.2 | 4.1 |
| 85.6 | 5.8 |

Structure:
Unit cell a=7.8623 b=7.8623 c=7.8623 alpha=89.90 beta=89.90 gamma=89.90
Atoms (fractional coordinates):
Sr  0.0000  0.0000  0.0000
Sr  0.0002  0.0002  0.5021
Sr  0.0002  0.5021  0.0002
Sr  0.0020  0.5021  0.5021
Sr  0.5021  0.0002  0.0002
Sr  0.5021  0.0020  0.5021
Sr  0.5021  0.5021  0.0020
Ca  0.5142  0.5142  0.5142
Ti  0.2502  0.7527  0.7527
Ti  0.2541  0.2541  0.2541
Ti  0.2545  0.2545  0.7517
Ti  0.2545  0.7517  0.2545
Ti  0.7517  0.2545  0.2545
Ti  0.7527  0.2502  0.7527
Ti  0.7527  0.7527  0.2502
Mn  0.7487  0.7487  0.7487
O  0.2432  0.2432  0.4945
O  0.2432  0.4945  0.2432
O  0.2445  0.2445  0.9931
O  0.2445  0.9931  0.2445
O  0.2479  0.7438  0.9946
O  0.2479  0.9946  0.7438
O  0.2486  0.4963  0.7422
O  0.2486  0.7422  0.4963
O  0.4945  0.2432  0.2432
O  0.4963  0.2486  0.7422
O  0.4963  0.7422  0.2486
O  0.5004  0.7431  0.7431
O  0.7422  0.2486  0.4963
O  0.7422  0.4963  0.2486
O  0.7431  0.5004  0.7431
O  0.7431  0.7431  0.5004
O  0.7438  0.2479  0.9946
O  0.7438  0.9946  0.2479
O  0.7460  0.7460  0.9937
O  0.7460  0.9937  0.7460
O  0.9931  0.2445  0.2445
O  0.9937  0.7460  0.7460
O  0.9946  0.2479  0.7438
O  0.9946  0.7438  0.2479